# 1
Theoretical X-ray diffraction stick pattern of PrCrN2 for Cu Kα X-rays, from a PBE-relaxed structure.
Neutral-atom scattering factors, no anomalous dispersion.

Unit cell a=6.294 b=6.294 c=7.189 alpha=90.00 beta=90.00 gamma=130.76
Sites, in units of the cell vectors:
Pr  0.170  0.830  0.920
Pr  0.330  0.670  0.420
Pr  0.670  0.330  0.580
Pr  0.830  0.170  0.080
Cr  0.063  0.937  0.350
Cr  0.437  0.563  0.850
Cr  0.563  0.437  0.150
Cr  0.937  0.063  0.650
N  0.089  0.411  0.750
N  0.104  0.896  0.598
N  0.396  0.604  0.098
N  0.411  0.089  0.250
N  0.589  0.911  0.750
N  0.604  0.396  0.902
N  0.896  0.104  0.402
N  0.911  0.589  0.250

Top 10 peaks for 2θ = 10–90°, by angle:
- 2θ = 31.16°, intensity 81
- 2θ = 31.56°, intensity 100
- 2θ = 33.72°, intensity 20
- 2θ = 34.20°, intensity 45
- 2θ = 40.82°, intensity 25
- 2θ = 45.02°, intensity 19
- 2θ = 48.79°, intensity 20
- 2θ = 49.62°, intensity 18
- 2θ = 59.58°, intensity 18
- 2θ = 65.18°, intensity 17

# 2
Theoretical X-ray diffraction stick pattern of AcCuTcGe3 for Cu Kα X-rays, from a PBE-relaxed structure.
Neutral-atom scattering factors, no anomalous dispersion.

Unit cell a=7.419 b=7.419 c=6.075 alpha=90.00 beta=90.00 gamma=128.43
Sites, in units of the cell vectors:
Ac  0.226  0.774  0.750
Ac  0.774  0.226  0.250
Cu  0.115  0.885  0.250
Cu  0.885  0.115  0.750
Tc  0.460  0.540  0.250
Tc  0.540  0.460  0.750
Ge  0.201  0.201  0.000
Ge  0.201  0.201  0.500
Ge  0.285  0.715  0.250
Ge  0.715  0.285  0.750
Ge  0.799  0.799  0.000
Ge  0.799  0.799  0.500

Top 10 peaks for 2θ = 10–90°, by angle:
- 2θ = 26.69°, intensity 56
- 2θ = 27.64°, intensity 45
- 2θ = 28.44°, intensity 100
- 2θ = 29.40°, intensity 33
- 2θ = 30.77°, intensity 54
- 2θ = 32.38°, intensity 56
- 2θ = 40.79°, intensity 95
- 2θ = 43.27°, intensity 39
- 2θ = 49.40°, intensity 58
- 2θ = 52.13°, intensity 51

# 3
Theoretical X-ray diffraction stick pattern of GaBi5 for Cu Kα X-rays, from a PBE-relaxed structure.
Neutral-atom scattering factors, no anomalous dispersion.

Unit cell a=8.959 b=8.959 c=5.138 alpha=90.00 beta=90.00 gamma=153.35
Sites, in units of the cell vectors:
Ga  0.000  0.000  0.000
Bi  0.178  0.822  0.500
Bi  0.366  0.634  0.000
Bi  0.500  0.500  0.500
Bi  0.634  0.366  0.000
Bi  0.822  0.178  0.500

Top 10 peaks for 2θ = 10–90°, by angle:
- 2θ = 26.82°, intensity 14
- 2θ = 30.77°, intensity 17
- 2θ = 31.78°, intensity 100
- 2θ = 34.93°, intensity 23
- 2θ = 43.85°, intensity 12
- 2θ = 47.23°, intensity 10
- 2θ = 52.15°, intensity 9
- 2θ = 57.25°, intensity 11
- 2θ = 60.67°, intensity 16
- 2θ = 73.01°, intensity 10

# 4
Theoretical X-ray diffraction stick pattern of CsRb3In for Cu Kα X-rays, from a PBE-relaxed structure.
Neutral-atom scattering factors, no anomalous dispersion.

Unit cell a=5.212 b=15.758 c=15.758 alpha=142.57 beta=90.00 gamma=90.00
Sites, in units of the cell vectors:
Cs  0.250  0.072  0.928
Cs  0.750  0.928  0.072
Rb  0.250  0.117  0.444
Rb  0.250  0.560  0.964
Rb  0.250  0.599  0.463
Rb  0.750  0.444  0.117
Rb  0.750  0.463  0.599
Rb  0.750  0.964  0.560
In  0.250  0.247  0.296
In  0.750  0.296  0.247

Top 10 peaks for 2θ = 10–90°, by angle:
- 2θ = 20.79°, intensity 68
- 2θ = 21.17°, intensity 39
- 2θ = 22.63°, intensity 27
- 2θ = 25.11°, intensity 63
- 2θ = 25.25°, intensity 100
- 2θ = 30.49°, intensity 42
- 2θ = 34.42°, intensity 29
- 2θ = 35.51°, intensity 23
- 2θ = 41.53°, intensity 30
- 2θ = 43.07°, intensity 29

# 5
Theoretical X-ray diffraction stick pattern of AcPrCu2Si2 for Cu Kα X-rays, from a PBE-relaxed structure.
Neutral-atom scattering factors, no anomalous dispersion.

Unit cell a=4.270 b=4.270 c=8.380 alpha=90.00 beta=90.00 gamma=120.00
Sites, in units of the cell vectors:
Ac  0.000  0.000  0.000
Pr  0.000  0.000  0.500
Cu  0.333  0.667  0.734
Cu  0.667  0.333  0.266
Si  0.333  0.667  0.264
Si  0.667  0.333  0.736

Top 10 peaks for 2θ = 10–90°, by angle:
- 2θ = 24.07°, intensity 34
- 2θ = 26.34°, intensity 10
- 2θ = 32.29°, intensity 100
- 2θ = 42.34°, intensity 35
- 2θ = 43.18°, intensity 11
- 2θ = 50.04°, intensity 11
- 2θ = 54.23°, intensity 23
- 2θ = 62.07°, intensity 21
- 2θ = 71.11°, intensity 20
- 2θ = 72.32°, intensity 9

# 6
Theoretical X-ray diffraction stick pattern of Ag4Pt7 for Cu Kα X-rays, from a PBE-relaxed structure.
Neutral-atom scattering factors, no anomalous dispersion.

Unit cell a=9.525 b=9.525 c=7.066 alpha=105.68 beta=105.68 gamma=16.90
Sites, in units of the cell vectors:
Ag  0.138  0.138  0.078
Ag  0.222  0.222  0.812
Ag  0.778  0.778  0.188
Ag  0.862  0.862  0.922
Pt  0.052  0.052  0.353
Pt  0.316  0.316  0.550
Pt  0.420  0.420  0.294
Pt  0.500  0.500  0.000
Pt  0.580  0.580  0.706
Pt  0.684  0.684  0.450
Pt  0.948  0.948  0.647

Top 10 peaks for 2θ = 10–90°, by angle:
- 2θ = 13.03°, intensity 11
- 2θ = 38.25°, intensity 100
- 2θ = 39.27°, intensity 96
- 2θ = 44.95°, intensity 65
- 2θ = 45.29°, intensity 30
- 2θ = 65.72°, intensity 38
- 2θ = 66.85°, intensity 10
- 2θ = 77.78°, intensity 23
- 2θ = 79.72°, intensity 24
- 2θ = 84.45°, intensity 10